Record 1
Structure and simulated powder diffractogram of Ac3TlSe (a structure optimized by DFT (GGA-PBE); Cu Kα).
Peak positions follow from Bragg's law for the DFT cell and can differ from measured ones.

Largest 8 diffraction maxima, in order of rising 2θ, 10 to 80 degrees two-theta:
Position (°2θ)	I (rel.)
24.6	30.5
27.0	32.7
27.3	100.0
27.6	19.9
29.1	99.4
31.4	29.6
41.7	32.8
50.6	24.1

Structure:
abc: 10.0874 4.3292 17.2511
angles: 90.00 90.00 90.00
Fractional positions:
Ac  0.0205  0.2500  0.1135
Ac  0.1557  0.7500  0.3048
Ac  0.1620  0.2500  0.5393
Ac  0.3380  0.7500  0.0393
Ac  0.3443  0.2500  0.8048
Ac  0.4795  0.7500  0.6135
Ac  0.5205  0.2500  0.3865
Ac  0.6557  0.7500  0.1952
Ac  0.6620  0.2500  0.9607
Ac  0.8380  0.7500  0.4607
Ac  0.8443  0.2500  0.6952
Ac  0.9795  0.7500  0.8865
Tl  0.1338  0.7500  0.7011
Tl  0.3662  0.2500  0.2011
Tl  0.6338  0.7500  0.7989
Tl  0.8662  0.2500  0.2989
Se  0.1719  0.2500  0.9535
Se  0.3281  0.7500  0.4535
Se  0.6719  0.2500  0.5465
Se  0.8281  0.7500  0.0465

=====

Record 2
Structure and simulated powder diffractogram of PrIn4 (a structure optimized by DFT (GGA-PBE); Cu Kα).
Peak positions follow from Bragg's law for the DFT cell and can differ from measured ones.

Largest 8 diffraction maxima, in order of rising 2θ, 10 to 80 degrees two-theta:
Position (°2θ)	I (rel.)
32.3	95.6
33.7	100.0
34.6	41.2
36.6	40.5
43.3	19.7
51.3	26.3
58.0	16.2
64.6	27.0

Structure:
abc: 8.9618 8.9618 8.9618
angles: 148.24 134.92 56.19
Fractional positions:
Pr  0.3553  0.1053  0.2500
Pr  0.6447  0.8947  0.7500
In  0.0000  0.5000  0.5000
In  0.1438  0.8938  0.2500
In  0.1797  0.6973  0.4823
In  0.2850  0.3027  0.9823
In  0.5000  0.5000  0.0000
In  0.7150  0.6973  0.0177
In  0.8203  0.3027  0.5177
In  0.8562  0.1062  0.7500

=====

Record 3
Structure and simulated powder diffractogram of SrCe2PO8 (a structure optimized by DFT (GGA-PBE); Cu Kα).
Peak positions follow from Bragg's law for the DFT cell and can differ from measured ones.

Largest 8 diffraction maxima, in order of rising 2θ, 10 to 80 degrees two-theta:
Position (°2θ)	I (rel.)
12.9	36.4
23.7	100.0
32.8	50.7
34.6	65.8
42.4	44.8
48.5	33.5
53.4	21.9
55.9	20.3

Structure:
abc: 5.1789 5.1789 6.8766
angles: 90.00 90.00 120.00
Fractional positions:
Sr  0.0000  0.0000  0.0000
Ce  0.3333  0.6667  0.3572
Ce  0.6667  0.3333  0.6428
P  0.0000  0.0000  0.5000
O  0.1552  0.3103  0.6434
O  0.1552  0.8448  0.6434
O  0.3103  0.1552  0.3566
O  0.3333  0.6667  0.0774
O  0.6667  0.3333  0.9226
O  0.6897  0.8448  0.6434
O  0.8448  0.1552  0.3566
O  0.8448  0.6897  0.3566

=====

Record 4
Structure and simulated powder diffractogram of LaTbSm2Dy2 (a structure optimized by DFT (GGA-PBE); Cu Kα).
Peak positions follow from Bragg's law for the DFT cell and can differ from measured ones.

Largest 8 diffraction maxima, in order of rising 2θ, 10 to 80 degrees two-theta:
Position (°2θ)	I (rel.)
26.7	43.8
28.6	100.0
30.0	85.6
30.3	94.8
31.2	36.7
33.5	61.2
35.8	34.9
40.8	66.1

Structure:
abc: 6.6733 17.8722 3.4012
angles: 90.00 90.00 90.00
Fractional positions:
La  0.0000  0.0000  0.0000
La  0.5000  0.5000  0.5000
Tb  0.0000  0.5000  0.0000
Tb  0.5000  0.0000  0.5000
Sm  0.2226  0.3495  0.5000
Sm  0.2774  0.8495  0.0000
Sm  0.7226  0.1505  0.0000
Sm  0.7774  0.6505  0.5000
Dy  0.2269  0.1819  0.0000
Dy  0.2731  0.6819  0.5000
Dy  0.7269  0.3181  0.5000
Dy  0.7731  0.8181  0.0000

=====

Record 5
Structure and simulated powder diffractogram of LiCd2OsO6 (a structure optimized by DFT (GGA-PBE); Cu Kα).
Peak positions follow from Bragg's law for the DFT cell and can differ from measured ones.

Largest 8 diffraction maxima, in order of rising 2θ, 10 to 80 degrees two-theta:
Position (°2θ)	I (rel.)
19.6	65.5
19.7	23.0
19.8	31.8
32.3	100.0
32.4	68.5
32.8	33.2
38.1	20.9
46.7	29.7

Structure:
abc: 5.4546 5.5406 9.5584
angles: 90.00 124.46 90.00
Fractional positions:
Li  0.0000  0.0000  0.0000
Li  0.0000  0.5000  0.5000
Cd  0.2345  0.0491  0.7447
Cd  0.2345  0.4509  0.2447
Cd  0.7655  0.5491  0.7553
Cd  0.7655  0.9509  0.2553
Os  0.5000  0.0000  0.5000
Os  0.5000  0.5000  0.0000
O  0.1640  0.1835  0.4529
O  0.1640  0.3165  0.9529
O  0.2658  0.7164  0.4361
O  0.2658  0.7836  0.9361
O  0.3751  0.0484  0.2693
O  0.3751  0.4516  0.7693
O  0.6249  0.5484  0.2307
O  0.6249  0.9516  0.7307
O  0.7342  0.2164  0.0639
O  0.7342  0.2836  0.5639
O  0.8360  0.6835  0.0471
O  0.8360  0.8165  0.5471

=====

Record 6
Structure and simulated powder diffractogram of PaCuTc (a structure optimized by DFT (GGA-PBE); Cu Kα).
Peak positions follow from Bragg's law for the DFT cell and can differ from measured ones.

Largest 8 diffraction maxima, in order of rising 2θ, 10 to 80 degrees two-theta:
Position (°2θ)	I (rel.)
19.9	28.6
27.2	31.6
36.0	70.0
39.6	100.0
41.5	18.3
51.9	24.7
67.2	41.9
74.2	12.5

Structure:
abc: 3.5262 3.5262 8.9278
angles: 90.00 90.00 90.00
Fractional positions:
Pa  0.0000  0.0000  0.0000
Pa  0.5000  0.5000  0.5000
Cu  0.0000  0.0000  0.6880
Cu  0.5000  0.5000  0.1880
Tc  0.0000  0.0000  0.3659
Tc  0.5000  0.5000  0.8659

=====

Record 7
Structure and simulated powder diffractogram of LiAl4Zn2O8 (a structure optimized by DFT (GGA-PBE); Cu Kα).
Peak positions follow from Bragg's law for the DFT cell and can differ from measured ones.

Largest 8 diffraction maxima, in order of rising 2θ, 10 to 80 degrees two-theta:
Position (°2θ)	I (rel.)
17.5	57.1
19.1	54.8
35.6	91.9
36.5	78.4
43.2	45.5
43.6	100.0
60.9	43.9
65.2	44.0

Structure:
abc: 5.7262 5.7262 5.9524
angles: 117.06 117.06 60.99
Fractional positions:
Li  0.0000  0.0000  0.0000
Al  0.1370  0.1370  0.4498
Al  0.5000  0.5000  0.0000
Al  0.5000  0.5000  0.5000
Al  0.8630  0.8630  0.5502
Zn  0.0000  0.5000  0.0000
Zn  0.5000  0.0000  0.0000
O  0.2610  0.7283  0.7473
O  0.2618  0.2618  0.2980
O  0.2717  0.7390  0.2527
O  0.2789  0.2789  0.8002
O  0.7211  0.7211  0.1998
O  0.7283  0.2610  0.7473
O  0.7382  0.7382  0.7020
O  0.7390  0.2717  0.2527

=====

Record 8
Structure and simulated powder diffractogram of Ac3TbY8 (a structure optimized by DFT (GGA-PBE); Cu Kα).
Peak positions follow from Bragg's law for the DFT cell and can differ from measured ones.

Largest 8 diffraction maxima, in order of rising 2θ, 10 to 80 degrees two-theta:
Position (°2θ)	I (rel.)
21.7	48.0
30.2	13.9
30.5	100.0
31.1	22.6
31.2	14.9
43.5	16.8
44.2	17.3
50.1	17.6

Structure:
abc: 8.9454 8.9454 8.9454
angles: 136.89 98.43 97.08
Fractional positions:
Ac  0.0000  0.0000  0.0000
Ac  0.2554  0.5000  0.7554
Ac  0.7446  0.5000  0.2446
Tb  0.5000  0.0000  0.5000
Y  0.0789  0.8272  0.2516
Y  0.2612  0.0145  0.7533
Y  0.2612  0.5079  0.2467
Y  0.4244  0.1727  0.2516
Y  0.5756  0.8272  0.7484
Y  0.7388  0.4921  0.7533
Y  0.7388  0.9855  0.2467
Y  0.9211  0.1727  0.7484

=====

Record 9
Structure and simulated powder diffractogram of Ca3Zn9Ge2 (a structure optimized by DFT (GGA-PBE); Cu Kα).
Peak positions follow from Bragg's law for the DFT cell and can differ from measured ones.

Largest 8 diffraction maxima, in order of rising 2θ, 10 to 80 degrees two-theta:
Position (°2θ)	I (rel.)
18.1	19.4
34.3	16.8
34.9	100.0
37.3	29.4
41.4	54.1
43.2	23.6
45.1	23.9
47.8	19.1

Structure:
abc: 8.2630 8.2630 8.2630
angles: 149.36 107.34 80.89
Fractional positions:
Ca  0.0000  0.0000  0.0000
Ca  0.3089  0.3089  0.0000
Ca  0.6911  0.6911  0.0000
Zn  0.0330  0.6642  0.3688
Zn  0.1402  0.8622  0.2781
Zn  0.2954  0.6642  0.6312
Zn  0.4159  0.1378  0.2781
Zn  0.5000  0.0000  0.5000
Zn  0.5841  0.8622  0.7219
Zn  0.7046  0.3358  0.3688
Zn  0.8598  0.1378  0.7219
Zn  0.9670  0.3358  0.6312
Ge  0.2931  0.5000  0.7931
Ge  0.7069  0.5000  0.2069

=====

Record 10
Structure and simulated powder diffractogram of PrInAg6 (a structure optimized by DFT (GGA-PBE); Cu Kα).
Peak positions follow from Bragg's law for the DFT cell and can differ from measured ones.

Largest 8 diffraction maxima, in order of rising 2θ, 10 to 80 degrees two-theta:
Position (°2θ)	I (rel.)
32.4	39.6
36.4	100.0
40.0	88.2
60.5	21.4
63.0	44.3
67.9	16.1
77.3	12.1
79.6	18.8

Structure:
abc: 5.5211 5.5211 5.5211
angles: 90.00 90.00 90.00
Fractional positions:
Pr  0.0000  0.0000  0.0000
In  0.5000  0.5000  0.5000
Ag  0.0000  0.2539  0.5000
Ag  0.0000  0.7461  0.5000
Ag  0.2539  0.5000  0.0000
Ag  0.5000  0.0000  0.2539
Ag  0.5000  0.0000  0.7461
Ag  0.7461  0.5000  0.0000

=====

Record 11
Structure and simulated powder diffractogram of Ba2Be2P2N (a structure optimized by DFT (GGA-PBE); Cu Kα).
Peak positions follow from Bragg's law for the DFT cell and can differ from measured ones.

Largest 8 diffraction maxima, in order of rising 2θ, 10 to 80 degrees two-theta:
Position (°2θ)	I (rel.)
18.7	61.9
24.1	48.7
24.4	100.0
29.3	44.1
31.2	54.2
31.7	36.1
34.0	50.6
35.2	85.2

Structure:
abc: 11.5467 3.9519 7.4073
angles: 90.00 124.52 90.00
Fractional positions:
Ba  0.0440  0.0000  0.2942
Ba  0.4560  0.5000  0.7058
Ba  0.5440  0.5000  0.2942
Ba  0.9560  0.0000  0.7058
Be  0.1597  0.5000  0.0716
Be  0.3403  0.0000  0.9284
Be  0.6597  0.0000  0.0716
Be  0.8403  0.5000  0.9284
P  0.2116  0.5000  0.7951
P  0.2884  0.0000  0.2049
P  0.7116  0.0000  0.7951
P  0.7884  0.5000  0.2049
N  0.0000  0.5000  0.0000
N  0.5000  0.0000  0.0000

=====

Record 12
Structure and simulated powder diffractogram of MnPW2 (a structure optimized by DFT (GGA-PBE); Cu Kα).
Peak positions follow from Bragg's law for the DFT cell and can differ from measured ones.

Largest 8 diffraction maxima, in order of rising 2θ, 10 to 80 degrees two-theta:
Position (°2θ)	I (rel.)
15.2	31.4
32.9	72.5
41.6	64.2
42.7	100.0
60.2	21.4
64.2	16.4
70.4	17.3
76.6	35.5

Structure:
abc: 3.0733 3.0733 5.8448
angles: 90.00 90.00 90.00
Fractional positions:
Mn  0.0000  0.0000  0.0000
P  0.5000  0.5000  0.2531
W  0.0000  0.0000  0.4675
W  0.5000  0.5000  0.7901

=====

Record 13
Structure and simulated powder diffractogram of Ba3GeSb3 (a structure optimized by DFT (GGA-PBE); Cu Kα).
Peak positions follow from Bragg's law for the DFT cell and can differ from measured ones.

Largest 8 diffraction maxima, in order of rising 2θ, 10 to 80 degrees two-theta:
Position (°2θ)	I (rel.)
24.4	31.3
24.9	100.0
26.6	17.1
35.2	84.1
35.5	54.8
43.6	27.8
57.6	15.4
63.5	23.1

Structure:
abc: 11.3376 11.3376 14.2898
angles: 90.00 90.00 37.48
Fractional positions:
Ba  0.0201  0.6343  0.1286
Ba  0.1343  0.5201  0.6286
Ba  0.1944  0.8056  0.8585
Ba  0.3056  0.6944  0.3585
Ba  0.3657  0.9799  0.1286
Ba  0.4799  0.8657  0.6286
Ba  0.5201  0.1343  0.3714
Ba  0.6343  0.0201  0.8714
Ba  0.6944  0.3056  0.6415
Ba  0.8056  0.1944  0.1415
Ba  0.8657  0.4799  0.3714
Ba  0.9799  0.3657  0.8714
Ge  0.0848  0.0848  0.5000
Ge  0.4152  0.4152  0.0000
Ge  0.5848  0.5848  0.0000
Ge  0.9152  0.9152  0.5000
Sb  0.0382  0.6395  0.3792
Sb  0.1395  0.5382  0.8792
Sb  0.2120  0.7880  0.6106
Sb  0.2880  0.7120  0.1106
Sb  0.3605  0.9618  0.3792
Sb  0.4618  0.8605  0.8792
Sb  0.5382  0.1395  0.1208
Sb  0.6395  0.0382  0.6208
Sb  0.7120  0.2880  0.8894
Sb  0.7880  0.2120  0.3894
Sb  0.8605  0.4618  0.1208
Sb  0.9618  0.3605  0.6208